Simulated XRD peak list
Compound: LiPuO4
Radiation: CuKα
Structure: the GGA-PBE geometry in Alexandria

Atomic structure:
```
LiPuO4
1.0
-2.5693 2.5693 5.0361
2.5693 -2.5693 5.0361
2.5693 2.5693 -5.0361
Li Pu O
2 2 8
Cartesian
2.5693 1.2846 1.2590
0.0000 1.2846 3.7771
2.5693 -1.2846 3.7771
0.0000 3.8539 1.2590
1.1855 0.0000 0.0000
3.9531 0.0000 0.0000
1.2846 2.4701 -2.5180
1.2846 -0.0992 2.5180
1.1855 2.5693 0.0000
1.3838 0.0000 5.0361
-1.2846 2.6685 2.5180
1.2846 2.6685 2.5180
```

Top 12 peaks for 10 to 90 degrees two-theta, low angle first:
19.39 deg, rel. 100
30.33 deg, rel. 71
31.84 deg, rel. 27
34.92 deg, rel. 13
40.25 deg, rel. 29
47.97 deg, rel. 20
50.22 deg, rel. 14
50.77 deg, rel. 27
59.80 deg, rel. 22
60.75 deg, rel. 16
61.18 deg, rel. 10
82.62 deg, rel. 13

Simulated XRD peak list
Compound: La7Ni2P
Radiation: CuKα
Structure: the GGA-PBE geometry in Alexandria

Atomic structure:
```
La7Ni2P
1.0
12.2172 0.0000 0.0000
0.0000 12.2172 0.0000
0.0000 0.0000 3.8239
La Ni P
14 4 2
Cartesian
0.0000 6.1086 0.0000
0.7142 2.3977 0.0000
2.2011 8.3097 1.9120
2.3977 11.5030 0.0000
3.7109 5.3944 0.0000
3.9075 2.2011 1.9120
5.3944 8.5063 0.0000
6.1086 0.0000 0.0000
6.8229 3.7109 0.0000
8.3097 10.0162 1.9120
8.5063 6.8229 0.0000
9.8195 0.7142 0.0000
10.0162 3.9075 1.9120
11.5030 9.8195 0.0000
1.6197 4.4889 1.9120
4.4889 10.5975 1.9120
7.7283 1.6197 1.9120
10.5975 7.7283 1.9120
0.0000 0.0000 1.9120
6.1086 6.1086 1.9120
```

Top 12 peaks for 10 to 90 degrees two-theta, low angle first:
27.52 deg, rel. 23
28.49 deg, rel. 22
30.16 deg, rel. 76
31.06 deg, rel. 45
31.24 deg, rel. 22
32.96 deg, rel. 100
35.39 deg, rel. 43
37.69 deg, rel. 17
47.56 deg, rel. 20
53.12 deg, rel. 21
57.35 deg, rel. 25
57.89 deg, rel. 15